[1]
For YCoNi, DFT lattice parameters and positions (PBE) gives the simulated powder diffractogram in this record (Cu Kα X-rays).
Neutral-atom scattering factors, no anomalous dispersion.

Principal peaks in the range 2θ from 15° to 90°, in order of rising 2θ:
2theta  d [Å]  I/Imax
35.5  2.531  97
41.7  2.164  98
41.9  2.155  100
42.1  2.148  93
43.8  2.068  41
44.0  2.060  42
68.3  1.374  31
75.1  1.265  57

Atomic structure:
abc: 5.0630 5.0630 5.0630
angles: 120.45 120.06 89.56
Fractional coordinates of all 6 atoms:
Y 0.3740 0.1240 0.2500
Y 0.6260 0.8760 0.7500
Co 0.0000 0.0000 0.5000
Co 0.0000 0.5000 0.0000
Ni 0.0000 0.5000 0.5000
Ni 0.5000 0.5000 0.0000

[2]
For Y2CoNi5, DFT lattice parameters and positions (PBE) gives the simulated powder diffractogram in this record (Cu Kα X-rays).
Neutral-atom scattering factors, no anomalous dispersion.

Principal peaks in the range 2θ from 15° to 90°, in order of rising 2θ:
2theta  d [Å]  I/Imax
33.1  2.703  25
36.2  2.484  54
42.1  2.145  31
42.7  2.119  100
44.7  2.027  27
46.1  1.967  37
69.5  1.352  29
76.7  1.243  20

Atomic structure:
abc: 16.4533 16.4533 16.4533
angles: 17.38 17.38 17.38
Fractional coordinates of all 24 atoms:
Y 0.0000 0.0000 0.0000
Y 0.0699 0.0699 0.0699
Y 0.1399 0.1399 0.1399
Y 0.5000 0.5000 0.5000
Y 0.5700 0.5700 0.5700
Y 0.6398 0.6398 0.6398
Co 0.3199 0.3199 0.3199
Co 0.4034 0.4034 0.4034
Co 0.8201 0.8201 0.8201
Ni 0.0289 0.0289 0.5294
Ni 0.0289 0.5294 0.0289
Ni 0.0303 0.5287 0.5287
Ni 0.1110 0.1110 0.6107
Ni 0.1110 0.6107 0.1110
Ni 0.1106 0.6106 0.6106
Ni 0.2367 0.2367 0.2367
Ni 0.5294 0.0289 0.0289
Ni 0.5287 0.0303 0.5287
Ni 0.5287 0.5287 0.0303
Ni 0.6107 0.1110 0.1110
Ni 0.6106 0.1106 0.6106
Ni 0.6106 0.6106 0.1106
Ni 0.7366 0.7366 0.7366
Ni 0.9033 0.9033 0.9033

[3]
For Y6CoNi, DFT lattice parameters and positions (PBE) gives the simulated powder diffractogram in this record (Cu Kα X-rays).
Neutral-atom scattering factors, no anomalous dispersion.

Principal peaks in the range 2θ from 15° to 90°, in order of rising 2θ:
2theta  d [Å]  I/Imax
31.4  2.852  48
31.5  2.842  42
31.9  2.804  100
32.4  2.760  62
32.9  2.721  87
34.6  2.593  58
35.5  2.525  68
58.9  1.569  40

Atomic structure:
abc: 9.4122 6.2535 6.8165
angles: 90.00 90.00 90.00
Fractional coordinates of all 16 atoms:
Y 0.0000 0.1097 0.0000
Y 0.0000 0.8903 0.5000
Y 0.1849 0.4235 0.3602
Y 0.1849 0.5765 0.8602
Y 0.3198 0.0717 0.7152
Y 0.3198 0.9283 0.2152
Y 0.5000 0.3876 0.0827
Y 0.5000 0.6124 0.5827
Y 0.6802 0.0717 0.7152
Y 0.6802 0.9283 0.2152
Y 0.8151 0.4235 0.3602
Y 0.8151 0.5765 0.8602
Co 0.5000 0.2045 0.4274
Co 0.5000 0.7955 0.9274
Ni 0.0000 0.3025 0.6472
Ni 0.0000 0.6975 0.1472